# 1
Diffraction record for LiBC2O4F2. The powder diffractogram is computed, not measured: it uses a structure optimized by DFT (PBE) and Cu Ka.
Peak positions follow from Bragg's law for the DFT cell and can differ from measured ones.

Largest 10 diffraction maxima, in order of falling intensity, 10 to 80 degrees two-theta:
Position (°2θ)	intensity
20.87	100
31.62	53
27.61	42
20.45	18
31.91	18
39.46	18
41.59	15
45.06	14
33.55	12
50.08	10

Crystal structure
```
data_LiBC2O4F2
_cell_length_a 6.4615
_cell_length_b 11.7371
_cell_length_c 6.4561
_cell_angle_alpha 90.00
_cell_angle_beta 90.00
_cell_angle_gamma 90.00
_symmetry_space_group_name_H-M 'C m c m'
_symmetry_Int_Tables_number 63
_symmetry_space_group_name_Hall '-C 2c 2'
loop_
_atom_site_label
_atom_site_fract_x
_atom_site_fract_y
_atom_site_fract_z
Li1 0.0000 0.0331 0.2500
B1 0.0000 0.3932 0.7500
C1 0.0000 0.2073 0.6314
O1 0.0000 0.1194 0.5283
O2 0.0000 0.3128 0.5647
F1 0.1777 0.4599 0.7500
```

# 2
Diffraction record for Tb3DyMg7. The powder diffractogram is computed, not measured: it uses a structure optimized by DFT (PBE) and Cu Ka.
Peak positions follow from Bragg's law for the DFT cell and can differ from measured ones.

Largest 10 diffraction maxima, in order of falling intensity, 10 to 80 degrees two-theta:
Position (°2θ)	intensity
17.35	100
26.10	76
31.88	70
23.22	65
30.43	58
35.12	49
30.83	34
38.18	31
63.40	24
50.50	23

Crystal structure
```
data_Tb3DyMg7
_cell_length_a 10.7394
_cell_length_b 10.2069
_cell_length_c 6.0901
_cell_angle_alpha 90.00
_cell_angle_beta 107.76
_cell_angle_gamma 90.00
_symmetry_space_group_name_H-M 'C 1 2/m 1'
_symmetry_Int_Tables_number 12
_symmetry_space_group_name_Hall '-C 2y'
loop_
_atom_site_label
_atom_site_fract_x
_atom_site_fract_y
_atom_site_fract_z
Tb1 0.0000 0.0000 0.0000
Tb2 0.0000 0.1933 0.5000
Dy1 0.0000 0.5000 0.0000
Mg1 0.0000 0.5000 0.5000
Mg2 0.1922 0.2444 0.1886
Mg3 0.2381 0.0000 0.5209
```

# 3
Diffraction record for Y5Ta. The powder diffractogram is computed, not measured: it uses a structure optimized by DFT (PBE) and Cu Ka.
Peak positions follow from Bragg's law for the DFT cell and can differ from measured ones.

Largest 10 diffraction maxima, in order of falling intensity, 10 to 80 degrees two-theta:
Position (°2θ)	intensity
33.79	100
29.32	26
33.20	24
63.10	20
59.69	19
52.00	18
44.87	16
63.46	15
16.80	11
37.96	4

Crystal structure
```
data_Y5Ta
_cell_length_a 6.0922
_cell_length_b 6.0922
_cell_length_c 5.3974
_cell_angle_alpha 90.00
_cell_angle_beta 90.00
_cell_angle_gamma 120.00
_symmetry_space_group_name_H-M 'P -6 2 m'
_symmetry_Int_Tables_number 189
_symmetry_space_group_name_Hall 'P -6 -2'
loop_
_atom_site_label
_atom_site_fract_x
_atom_site_fract_y
_atom_site_fract_z
Y1 0.0000 0.6897 0.0000
Y2 0.3333 0.6667 0.5000
Ta1 0.0000 0.0000 0.5000
```

# 4
Diffraction record for LaPd2I. The powder diffractogram is computed, not measured: it uses a structure optimized by DFT (PBE) and Cu Ka.
Peak positions follow from Bragg's law for the DFT cell and can differ from measured ones.

Largest 5 diffraction maxima, in order of falling intensity, 10 to 80 degrees two-theta:
Position (°2θ)	intensity
35.33	100
63.41	36
50.82	18
74.73	11
24.78	1

Crystal structure
```
data_LaPd2I
_cell_length_a 7.1860
_cell_length_b 7.1860
_cell_length_c 7.1860
_cell_angle_alpha 90.00
_cell_angle_beta 90.00
_cell_angle_gamma 90.00
_symmetry_space_group_name_H-M 'F m -3 m'
_symmetry_Int_Tables_number 225
_symmetry_space_group_name_Hall '-F 4 2 3'
loop_
_atom_site_label
_atom_site_fract_x
_atom_site_fract_y
_atom_site_fract_z
La1 0.0000 0.0000 0.0000
Pd1 0.2500 0.2500 0.2500
I1 0.0000 0.0000 0.5000
```

# 5
Diffraction record for BaB2N2. The powder diffractogram is computed, not measured: it uses a structure optimized by DFT (PBE) and Cu Ka.
Peak positions follow from Bragg's law for the DFT cell and can differ from measured ones.

Largest 10 diffraction maxima, in order of falling intensity, 10 to 80 degrees two-theta:
Position (°2θ)	intensity
30.34	100
24.87	51
39.62	47
17.10	29
34.59	25
43.07	24
35.46	21
68.93	19
57.57	17
60.52	16

Crystal structure
```
data_BaB2N2
_cell_length_a 5.0629
_cell_length_b 5.0629
_cell_length_c 10.3720
_cell_angle_alpha 90.00
_cell_angle_beta 90.00
_cell_angle_gamma 90.00
_symmetry_space_group_name_H-M 'I 4/m c m'
_symmetry_Int_Tables_number 140
_symmetry_space_group_name_Hall '-I 4 2c'
loop_
_atom_site_label
_atom_site_fract_x
_atom_site_fract_y
_atom_site_fract_z
Ba1 0.0000 0.0000 0.2500
B1 0.1401 0.3599 0.0000
N1 0.1590 0.3410 0.5000
```

# 6
Diffraction record for Nd8Ag3Sn2. The powder diffractogram is computed, not measured: it uses a structure optimized by DFT (PBE) and Cu Ka.
Peak positions follow from Bragg's law for the DFT cell and can differ from measured ones.

Largest 10 diffraction maxima, in order of falling intensity, 10 to 80 degrees two-theta:
Position (°2θ)	intensity
33.66	100
34.44	24
34.67	23
61.20	18
61.49	17
49.67	17
20.60	14
24.25	13
70.76	11
46.98	10

Crystal structure
```
data_Nd8Ag3Sn2
_cell_length_a 10.3508
_cell_length_b 15.4740
_cell_length_c 5.2076
_cell_angle_alpha 90.00
_cell_angle_beta 90.00
_cell_angle_gamma 90.00
_symmetry_space_group_name_H-M 'C m m m'
_symmetry_Int_Tables_number 65
_symmetry_space_group_name_Hall '-C 2 2'
loop_
_atom_site_label
_atom_site_fract_x
_atom_site_fract_y
_atom_site_fract_z
Nd1 0.0000 0.1195 0.0000
Nd2 0.0000 0.3745 0.0000
Nd3 0.2460 0.1220 0.5000
Ag1 0.0000 0.5000 0.5000
Ag2 0.2481 0.5000 0.0000
Sn1 0.0000 0.2492 0.5000
```

# 7
Diffraction record for In12Bi6Pb. The powder diffractogram is computed, not measured: it uses a structure optimized by DFT (PBE) and Cu Ka.
Peak positions follow from Bragg's law for the DFT cell and can differ from measured ones.

Largest 10 diffraction maxima, in order of falling intensity, 10 to 80 degrees two-theta:
Position (°2θ)	intensity
31.56	100
33.76	58
33.96	38
32.05	36
34.74	35
21.63	19
58.70	18
54.08	16
50.58	15
43.27	15

Crystal structure
```
data_In12Bi6Pb
_cell_length_a 13.5670
_cell_length_b 13.5670
_cell_length_c 10.8369
_cell_angle_alpha 90.00
_cell_angle_beta 90.00
_cell_angle_gamma 120.00
_symmetry_space_group_name_H-M 'R -3'
_symmetry_Int_Tables_number 148
_symmetry_space_group_name_Hall '-R 3'
loop_
_atom_site_label
_atom_site_fract_x
_atom_site_fract_y
_atom_site_fract_z
In1 0.9998 0.2581 0.9996
In2 0.0689 0.5353 0.1202
Bi1 0.0820 0.9175 0.7395
Pb1 0.0000 0.0000 0.0000
```